1.
Structure and simulated PXRD pattern of FeOF (a GGA+U-relaxed structure; Cu Kα).
Lines closer than 0.1° are merged.

Atomic structure:
```
FeOF
1.0
14.2022 0.0000 0.0000
0.0000 3.0996 0.0000
-0.0018 0.0000 14.2165
Fe O F
18 18 18
Direct
0.0000 0.0000 0.0000 Fe
0.0021 0.0000 0.6650 Fe
0.1388 0.5000 0.1702 Fe
0.1457 0.5000 0.5005 Fe
0.1613 0.5000 0.8123 Fe
0.3053 0.0000 0.6521 Fe
0.3315 0.0000 0.9992 Fe
0.3327 0.0000 0.3324 Fe
0.4745 0.5000 0.1650 Fe
0.4777 0.5000 0.8332 Fe
0.4883 0.5000 0.4839 Fe
0.6549 0.0000 0.3444 Fe
0.6683 0.0000 0.9993 Fe
0.6731 0.0000 0.6563 Fe
0.8065 0.5000 0.8288 Fe
0.8156 0.5000 0.1607 Fe
0.8208 0.5000 0.4865 Fe
0.9960 0.0000 0.3422 Fe
0.0520 0.5000 0.7328 O
0.0544 0.5000 0.0573 O
0.0556 0.5000 0.3948 O
0.0839 0.0000 0.2279 O
0.0895 0.0000 0.5618 O
0.2267 0.0000 0.7654 O
0.2575 0.5000 0.5890 O
0.3820 0.5000 0.3975 O
0.3864 0.5000 0.0588 O
0.4193 0.0000 0.8900 O
0.4228 0.0000 0.2276 O
0.5501 0.0000 0.4312 O
0.7187 0.5000 0.0637 O
0.7193 0.5000 0.7248 O
0.7199 0.5000 0.3886 O
0.7565 0.0000 0.8951 O
0.7597 0.0000 0.5543 O
0.8884 0.0000 0.4308 O
0.0925 0.0000 0.8935 F
0.2179 0.0000 0.4231 F
0.2187 0.0000 0.0980 F
0.2510 0.5000 0.9343 F
0.2557 0.5000 0.2610 F
0.3892 0.5000 0.7213 F
0.4263 0.0000 0.5657 F
0.5498 0.0000 0.7643 F
0.5522 0.0000 0.0929 F
0.5871 0.5000 0.5987 F
0.5883 0.5000 0.9294 F
0.5899 0.5000 0.2580 F
0.7519 0.0000 0.2281 F
0.8860 0.0000 0.7667 F
0.8876 0.0000 0.0929 F
0.9168 0.5000 0.2588 F
0.9228 0.5000 0.6049 F
0.9269 0.5000 0.9288 F
```

Most intense lines, 2θ = 10–90°, in order of rising 2θ:
Position (°2θ), I/Imax, h k l
26.62, 100, 3 0 -3
34.58, 56, 0 1 3
37.99, 7, 0 0 6
39.62, 18, 3 1 3
42.69, 10, 6 0 3
52.31, 58, 3 1 6
54.82, 16, 6 0 6
59.66, 10, 0 2 0
66.46, 31, 0 1 9
85.34, 7, 6 2 6


2.
Structure and simulated PXRD pattern of FeSO7 (a GGA+U-relaxed structure; Cu Kα).
Lines closer than 0.1° are merged.

Atomic structure:
```
FeSO7
1.0
6.0844 0.0000 0.0000
0.0000 7.0514 0.0000
-1.6201 0.0000 6.7137
Fe S O
2 2 14
Direct
0.0000 0.0000 0.0000 Fe
0.0000 0.5000 0.0000 Fe
0.3387 0.2500 0.3692 S
0.6613 0.7500 0.6308 S
0.0867 0.7500 0.0744 O
0.2082 0.5462 0.8500 O
0.2082 0.9538 0.8500 O
0.2613 0.2500 0.5563 O
0.2635 0.0774 0.2476 O
0.2635 0.4226 0.2476 O
0.4118 0.7500 0.5653 O
0.5882 0.2500 0.4347 O
0.7365 0.5774 0.7524 O
0.7365 0.9226 0.7524 O
0.7387 0.7500 0.4437 O
0.7918 0.0462 0.1500 O
0.7918 0.4538 0.1500 O
0.9133 0.2500 0.9256 O
```

Most intense lines, 2θ = 10–90°, in order of rising 2θ:
Position (°2θ), I/Imax, h k l
13.19, 17, 0 0 1
14.98, 17, 1 0 0
17.50, 100, 1 0 -1
18.25, 21, 0 1 1
19.59, 12, 1 1 0
22.24, 22, 1 0 1
25.62, 20, 1 1 1
28.60, 47, 0 2 1
29.49, 27, 1 2 0
35.43, 12, 2 0 -2


3.
Structure and simulated PXRD pattern of La2NbNiO6 (a GGA+U-relaxed structure; Cu Kα).
Lines closer than 0.1° are merged.

Atomic structure:
```
La2NbNiO6
1.0
5.7129 0.0000 0.0000
0.0000 5.6993 0.0000
-5.7016 0.0000 8.0059
La Nb Ni O
4 2 2 12
Direct
0.2402 0.0563 0.2501 La
0.2402 0.4437 0.7501 La
0.7598 0.5563 0.2499 La
0.7598 0.9437 0.7499 La
0.5000 0.0000 0.0000 Nb
0.5000 0.5000 0.5000 Nb
0.0000 0.0000 0.5000 Ni
0.0000 0.5000 0.0000 Ni
0.1587 0.1973 0.9562 O
0.1587 0.3027 0.4562 O
0.2403 0.7079 0.9446 O
0.2403 0.7921 0.4446 O
0.3454 0.0147 0.7513 O
0.3454 0.4853 0.2513 O
0.6546 0.5147 0.7487 O
0.6546 0.9853 0.2487 O
0.7597 0.2079 0.5554 O
0.7597 0.2921 0.0554 O
0.8413 0.6973 0.5438 O
0.8413 0.8027 0.0438 O
```

Most intense lines, 2θ = 10–90°, in order of rising 2θ:
Position (°2θ), I/Imax, h k l
24.71, 10, 1 1 0
31.35, 46, 2 0 -2
31.48, 100, 1 1 1
44.93, 22, 2 2 -2
45.31, 14, 0 0 4
52.00, 10, 1 3 0
55.84, 24, 3 1 -1
55.94, 10, 1 3 -3
56.13, 21, 2 0 -6
65.72, 12, 2 2 2


4.
Structure and simulated PXRD pattern of Li9Co7O16 (a GGA+U-relaxed structure; Cu Kα).
Lines closer than 0.1° are merged.

Atomic structure:
```
Li9Co7O16
1.0
2.9418 0.0000 0.0000
-0.3259 10.0248 0.0000
-0.1825 -3.1662 9.6856
Li Co O
9 7 16
Direct
0.0000 0.0000 0.0000 Li
0.0006 0.2519 0.2491 Li
0.0075 0.2469 0.7498 Li
0.4976 0.5008 0.2513 Li
0.4989 0.0000 0.2457 Li
0.5011 0.0000 0.7543 Li
0.5024 0.4992 0.7487 Li
0.9925 0.7531 0.2502 Li
0.9994 0.7481 0.7509 Li
0.0000 0.0000 0.5000 Co
0.0000 0.5000 0.0000 Co
0.0000 0.5000 0.5000 Co
0.4950 0.7577 0.9996 Co
0.5002 0.2504 0.4999 Co
0.4998 0.7496 0.5001 Co
0.5050 0.2423 0.0004 Co
0.0009 0.1305 0.3818 O
0.0026 0.6325 0.3817 O
0.0318 0.1365 0.8853 O
0.0331 0.6202 0.8886 O
0.4871 0.6246 0.1047 O
0.4926 0.3795 0.3832 O
0.4959 0.1187 0.6157 O
0.4978 0.1432 0.1140 O
0.5022 0.8568 0.8860 O
0.5041 0.8813 0.3843 O
0.5074 0.6205 0.6168 O
0.5129 0.3754 0.8953 O
0.9669 0.3798 0.1114 O
0.9682 0.8635 0.1147 O
0.9974 0.3675 0.6183 O
0.9991 0.8695 0.6182 O
```

Most intense lines, 2θ = 10–90°, in order of rising 2θ:
Position (°2θ), I/Imax, h k l
18.32, 100, 0 0 2
35.23, 17, 1 -2 0
36.53, 25, 1 2 0
42.35, 31, -1 2 2
44.30, 52, 1 2 2
58.23, 9, 1 2 4
62.63, 8, 0 4 4
62.75, 8, 1 2 -6
63.13, 8, 1 -6 2
63.28, 8, 2 0 0


5.
Structure and simulated PXRD pattern of MgNiP2O7 (a GGA+U-relaxed structure; Cu Kα).
Lines closer than 0.1° are merged.

Atomic structure:
```
MgNiP2O7
1.0
6.2421 0.0000 0.0000
1.0976 6.4467 0.0000
2.8647 0.7905 6.2761
Mg Ni P O
2 2 4 14
Direct
0.2003 0.1547 0.3746 Mg
0.7997 0.8453 0.6254 Mg
0.4128 0.3161 0.6894 Ni
0.5872 0.6839 0.3106 Ni
0.1420 0.6295 0.1979 P
0.2678 0.8281 0.7455 P
0.7322 0.1719 0.2545 P
0.8580 0.3705 0.8021 P
0.0976 0.9251 0.6388 O
0.1044 0.7595 0.9865 O
0.1137 0.3398 0.6311 O
0.2230 0.4041 0.1535 O
0.3096 0.7438 0.2369 O
0.4199 0.6341 0.6440 O
0.4391 0.9810 0.7319 O
0.5609 0.0190 0.2681 O
0.5801 0.3659 0.3560 O
0.6904 0.2562 0.7631 O
0.7770 0.5959 0.8465 O
0.8863 0.6602 0.3689 O
0.8956 0.2405 0.0135 O
0.9024 0.0749 0.3612 O
```

Most intense lines, 2θ = 10–90°, in order of rising 2θ:
Position (°2θ), I/Imax, h k l
14.11, 49, 0 0 1
16.45, 57, 1 0 1
27.90, 40, 0 2 0
28.44, 100, 0 0 2
28.62, 72, -1 1 1
29.08, 59, 2 0 1
29.73, 62, 0 2 1
30.01, 77, 2 1 1
32.99, 56, 0 2 -1
37.88, 37, 1 0 -2